# 1
DyPu2Tc9: computed X-ray powder pattern (Cu Ka), based on DFT lattice parameters and positions (GGA-PBE).

Crystal structure
Cell: 5.2179 5.2179 27.2145 Å, 90.00 90.00 120.00°
Space group R-3m (No. 166, hexagonal axes)
Asymmetric unit:
Dy1 0.0000 0.0000 0.0000 [3 per cell]
Pu1 0.0000 0.0000 0.1456 [6 per cell]
Tc1 0.0000 0.0000 0.3354 [6 per cell]
Tc2 0.0000 0.0000 0.5000 [3 per cell]
Tc3 0.0042 0.5021 0.9179 [18 per cell]

Most intense lines, 10° ≤ 2θ ≤ 90°, sorted by position:
hkl 1 0 7, 2θ = 30.33°, intensity 36
hkl 0 1 8, 2θ = 32.96°, intensity 25
hkl 1 1 0, 2θ = 34.37°, intensity 41
hkl 0 0 12, 2θ = 39.75°, intensity 19
hkl 1 1 6, 2θ = 39.86°, intensity 100
hkl 0 2 1, 2θ = 40.04°, intensity 30
hkl 0 1 11, 2θ = 41.62°, intensity 14
hkl 2 0 5, 2θ = 43.36°, intensity 14
hkl 3 0 6, 2θ = 65.27°, intensity 23
hkl 2 2 0, 2θ = 72.47°, intensity 25


# 2
DyPuTc: computed X-ray powder pattern (Cu Ka), based on DFT lattice parameters and positions (GGA-PBE).

Crystal structure
Cell: 4.6570 4.6570 3.5518 Å, 90.00 90.00 120.00°
Space group P-6m2 (No. 187)
Asymmetric unit:
Dy1 0.0000 0.0000 0.0000 [1 per cell]
Pu1 0.3333 0.6667 0.5000 [1 per cell]
Tc1 0.6667 0.3333 0.5000 [1 per cell]

Most intense lines, 10° ≤ 2θ ≤ 90°, sorted by position:
hkl 1 0 0, 2θ = 22.04°, intensity 15
hkl 0 0 1, 2θ = 25.07°, intensity 9
hkl 1 0 1, 2θ = 33.62°, intensity 100
hkl 1 1 0, 2θ = 38.67°, intensity 70
hkl 1 1 1, 2θ = 46.64°, intensity 10
hkl 0 0 2, 2θ = 51.46°, intensity 10
hkl 2 0 1, 2θ = 52.16°, intensity 29
hkl 1 1 2, 2θ = 66.18°, intensity 29
hkl 2 1 1, 2θ = 66.78°, intensity 28
hkl 3 0 0, 2θ = 69.98°, intensity 12


# 3
Dy2PuTe5: computed X-ray powder pattern (Cu Ka), based on DFT lattice parameters and positions (GGA-PBE).

Crystal structure
Cell: 8.1223 8.1223 14.1905 Å, 90.00 90.00 90.00°
Space group I4/mcm (No. 140)
Asymmetric unit:
Dy1 0.1517 0.3483 0.0000 [8 per cell]
Pu1 0.0000 0.0000 0.2500 [4 per cell]
Te1 0.0000 0.0000 0.0000 [4 per cell]
Te2 0.1573 0.3427 0.3506 [16 per cell]

Most intense lines, 10° ≤ 2θ ≤ 90°, sorted by position:
hkl 1 1 4, 2θ = 29.60°, intensity 21
hkl 2 1 3, 2θ = 31.04°, intensity 100
hkl 2 2 0, 2θ = 31.14°, intensity 15
hkl 2 0 4, 2θ = 33.54°, intensity 19
hkl 3 1 0, 2θ = 34.93°, intensity 64
hkl 2 2 4, 2θ = 40.37°, intensity 16
hkl 4 2 0, 2θ = 50.20°, intensity 26
hkl 3 3 6, 2θ = 62.41°, intensity 12
hkl 3 1 8, 2θ = 63.77°, intensity 14
hkl 4 4 0, 2θ = 64.90°, intensity 22


Repeat the third record exactly.
Dy2PuTe5: computed X-ray powder pattern (Cu Ka), based on DFT lattice parameters and positions (GGA-PBE).

Crystal structure
Cell: 8.1223 8.1223 14.1905 Å, 90.00 90.00 90.00°
Space group I4/mcm (No. 140)
Asymmetric unit:
Dy1 0.1517 0.3483 0.0000 [8 per cell]
Pu1 0.0000 0.0000 0.2500 [4 per cell]
Te1 0.0000 0.0000 0.0000 [4 per cell]
Te2 0.1573 0.3427 0.3506 [16 per cell]

Most intense lines, 10° ≤ 2θ ≤ 90°, sorted by position:
hkl 1 1 4, 2θ = 29.60°, intensity 21
hkl 2 1 3, 2θ = 31.04°, intensity 100
hkl 2 2 0, 2θ = 31.14°, intensity 15
hkl 2 0 4, 2θ = 33.54°, intensity 19
hkl 3 1 0, 2θ = 34.93°, intensity 64
hkl 2 2 4, 2θ = 40.37°, intensity 16
hkl 4 2 0, 2θ = 50.20°, intensity 26
hkl 3 3 6, 2θ = 62.41°, intensity 12
hkl 3 1 8, 2θ = 63.77°, intensity 14
hkl 4 4 0, 2θ = 64.90°, intensity 22